Bi4Pd6O19: calculated powder diffraction line list (λ = 1.5418 Å (Cu Kα)), based on a crystal structure in Alexandria, relaxed with GGA-PBE.

Main lines, most intense first (10 to 90 degrees two-theta):
two_theta  I_rel  h k l
24.3  100  2 1 1
31.5  87  3 1 0
42.7  50  3 3 0
37.4  42  3 2 1
51.9  33  4 1 3
62.0  32  6 0 0
56.1  27  5 2 1
49.7  24  4 2 2
34.6  21  2 2 2
78.2  21  5 5 2

Crystal structure
abc: 8.9858 8.9858 8.9858
angles: 90.00 90.00 90.00
Space group I23 (No. 197)
Asymmetric unit:
Bi 0.1588 0.1588 0.8412 x8
Pd 0.0000 0.3410 0.5000 x12
O 0.0000 0.0000 0.0000 x2
O 0.0000 0.0000 0.3343 x12
O 0.0334 0.3210 0.2831 x24